Record 1
Calculated X-ray powder pattern of LaCl2 for Cu Ka, from a structure optimized by DFT (GGA-PBE).

Cell: 14.405 3.596 3.592 Å, 90.00 90.07 90.00°
Space group C2/m (No. 12)
One atom of each set of equivalent atoms:
La (0.000, 0.000, 0.000) (multiplicity 2)
Cl (0.113, 0.500, 0.501) (multiplicity 4)

Peak list (6 most intense, 2θ = 15–90°, in order of falling intensity)
- 35.88°, I = 1000
- 31.07°, I = 620
- 40.12°, I = 610
- 35.29°, I = 602
- 27.75°, I = 426
- 25.53°, I = 212

***

Record 2
Calculated X-ray powder pattern of LiLa2PbCl for Cu Ka, from a structure optimized by DFT (GGA-PBE).

Cell: 5.599 5.599 4.509 Å, 90.00 90.00 90.00°
Space group P4/mmm (No. 123)
One atom of each set of equivalent atoms:
Li (0.000, 0.000, 0.000) (multiplicity 1)
La (0.000, 0.500, 0.500) (multiplicity 2)
Pb (0.500, 0.500, 0.000) (multiplicity 1)
Cl (0.000, 0.000, 0.500) (multiplicity 1)

Peak list (6 most intense, 2θ = 15–90°, in order of falling intensity)
- 30.04°, I = 1000
- 31.97°, I = 576
- 25.36°, I = 427
- 55.78°, I = 362
- 52.08°, I = 290
- 15.83°, I = 279

***

Record 3
Calculated X-ray powder pattern of LaMgCl for Cu Ka, from a structure optimized by DFT (GGA-PBE).

Cell: 3.621 3.621 13.266 Å, 90.00 90.00 90.00°
Space group P4/nmm (No. 129, origin choice 2)
One atom of each set of equivalent atoms:
La (0.250, 0.250, 0.245) (multiplicity 2)
Mg (0.250, 0.250, 0.568) (multiplicity 2)
Cl (0.250, 0.250, 0.875) (multiplicity 2)

Peak list (6 most intense, 2θ = 15–90°, in order of falling intensity)
- 31.95°, I = 1000
- 25.50°, I = 505
- 35.05°, I = 440
- 60.93°, I = 299
- 37.66°, I = 264
- 42.23°, I = 253

***

Record 4
Calculated X-ray powder pattern of La2NCl2 for Cu Ka, from a structure optimized by DFT (GGA-PBE).

Cell: 3.887 17.709 7.510 Å, 90.00 90.00 90.00°
Space group Cmc2_1 (No. 36)
One atom of each set of equivalent atoms:
La (0.000, 0.029, 0.000) (multiplicity 4)
La (0.000, 0.348, 0.853) (multiplicity 4)
N (0.000, 0.080, 0.309) (multiplicity 4)
Cl (0.000, 0.267, 0.514) (multiplicity 4)
Cl (0.000, 0.423, 0.205) (multiplicity 4)

Peak list (6 most intense, 2θ = 15–90°, in order of falling intensity)
- 27.47°, I = 1000
- 33.57°, I = 563
- 15.47°, I = 500
- 23.32°, I = 477
- 31.24°, I = 466
- 29.99°, I = 448